TmZnGaRu: simulated powder diffractogram (copper Kα), based on the GGA-PBE geometry in Alexandria.

Structure:
```
data_TmZnGaRu
_cell_length_a 4.3217
_cell_length_b 4.3217
_cell_length_c 13.7269
_cell_angle_alpha 90.00
_cell_angle_beta 90.00
_cell_angle_gamma 120.00
_symmetry_space_group_name_H-M 'R 3 m'
_symmetry_Int_Tables_number 160
_symmetry_space_group_name_Hall 'R 3 -2"'
loop_
_atom_site_label
_atom_site_fract_x
_atom_site_fract_y
_atom_site_fract_z
_atom_site_occupancy
Tm1 0.0000 0.0000 0.0000 1
Zn1 0.0000 0.0000 0.2176 1
Ga1 0.0000 0.0000 0.7811 1
Ru1 0.0000 0.0000 0.4510 1
```

Largest 6 diffraction maxima, in order of rising 2θ, 10 to 90 degrees two-theta:
h k l	2θ (°)	d/Å	I (rel.)
0 1 2	27.14	3.286	32.3
1 0 4	35.49	2.529	92.8
0 1 5	40.76	2.214	57.1
1 1 0	41.80	2.161	100.0
0 2 4	55.97	1.643	24.7
1 1 9	76.44	1.246	31.3